This entry pairs a crystal structure of CdIn4BiPb2 with its simulated X-ray powder pattern. Radiation: Cu Kα X-rays. Structure: a structure optimized by DFT (GGA-PBE).
Neutral-atom scattering factors, no anomalous dispersion.

Main lines, by intensity (2θ = 10–90°):
| 2theta | I (rel.) | index |
| --- | --- | --- |
| 28.62 | 100 | 2 2 0 |
| 40.76 | 78 | 2 2 4 |
| 28.41 | 51 | 0 0 4 |
| 49.63 | 22 | 0 4 4 |
| 39.82 | 21 | 0 4 0 |
| 51.47 | 19 | 4 0 4 |
| 66.98 | 18 | 4 4 4 |
| 66.66 | 18 | 2 2 8 |
| 41.99 | 18 | 4 0 0 |
| 72.92 | 14 | 2 6 4 |

Cell and atoms:
Cell lengths 8.6072, 9.0562, 12.5669 Å; angles 90.00, 90.00, 90.00 degrees
Space group Imma (No. 74)
Unique sites:
Cd  0.0000  0.0000  0.0000 x4
In  0.0000  0.0039  0.2467 x8
In  0.2362  0.2500  0.0020 x8
Bi  0.2500  0.2500  0.2500 x4
Pb  0.0000  0.0000  0.5000 x4
Pb  0.2500  0.2500  0.7500 x4